# Ca3Si4Sn2O14
Computed X-ray diffraction stick pattern, Cu Kα X-rays. Input: a cell relaxed with PBE.
Intensities are scaled so that the largest is 100.

Cell and atoms:
a b c (Å): 9.0771 9.0771 11.5470
angles (deg): 117.37 117.37 49.00
Sites, in units of the cell vectors:
Ca (0.1835, 0.8165, 0.7500)
Ca (0.2468, 0.2829, 0.4964)
Ca (0.2829, 0.2468, 0.9964)
Ca (0.7171, 0.7532, 0.0036)
Ca (0.7532, 0.7171, 0.5036)
Ca (0.8165, 0.1835, 0.2500)
Si (0.0127, 0.2384, 0.0784)
Si (0.0410, 0.5693, 0.2924)
Si (0.2384, 0.0127, 0.5784)
Si (0.4307, 0.9590, 0.2076)
Si (0.5693, 0.0410, 0.7924)
Si (0.7616, 0.9873, 0.4216)
Si (0.9590, 0.4307, 0.7076)
Si (0.9873, 0.7616, 0.9216)
Sn (0.3046, 0.6954, 0.2500)
Sn (0.5000, 0.5000, 0.0000)
Sn (0.5000, 0.5000, 0.5000)
Sn (0.6954, 0.3046, 0.7500)
O (0.0022, 0.5430, 0.8732)
O (0.0074, 0.4872, 0.6229)
O (0.0857, 0.1237, 0.9405)
O (0.1189, 0.1863, 0.7025)
O (0.1237, 0.0857, 0.4405)
O (0.1863, 0.1189, 0.2025)
O (0.1949, 0.7064, 0.9167)
O (0.2706, 0.5034, 0.3260)
O (0.2936, 0.8051, 0.5833)
O (0.4165, 0.4432, 0.6029)
O (0.4432, 0.4165, 0.1029)
O (0.4570, 0.9978, 0.6268)
O (0.4872, 0.0074, 0.1229)
O (0.4966, 0.7294, 0.1740)
O (0.5034, 0.2706, 0.8260)
O (0.5128, 0.9926, 0.8771)
O (0.5430, 0.0022, 0.3732)
O (0.5568, 0.5835, 0.8971)
O (0.5835, 0.5568, 0.3971)
O (0.7064, 0.1949, 0.4167)
O (0.7294, 0.4966, 0.6740)
O (0.8051, 0.2936, 0.0833)
O (0.8137, 0.8811, 0.7975)
O (0.8763, 0.9143, 0.5595)
O (0.8811, 0.8137, 0.2975)
O (0.9143, 0.8763, 0.0595)
O (0.9926, 0.5128, 0.3771)
O (0.9978, 0.4570, 0.1268)

Peak list (10 most intense, 2θ from 5° to 70°, in order of rising 2θ)
| 2theta | I/Imax |
| --- | --- |
| 12.42 | 47 |
| 13.30 | 66 |
| 22.12 | 64 |
| 24.99 | 49 |
| 29.60 | 29 |
| 29.75 | 100 |
| 30.27 | 35 |
| 31.77 | 44 |
| 32.60 | 56 |
| 35.83 | 34 |



# Ca4TiSi4Sn3O20
Computed X-ray diffraction stick pattern, Cu Kα X-rays. Input: a cell relaxed with PBE.
Intensities are scaled so that the largest is 100.

Cell and atoms:
a b c (Å): 6.7498 8.0043 8.0149
angles (deg): 67.87 86.64 86.68
Sites, in units of the cell vectors:
Ca (0.1227, 0.0445, 0.2101)
Ca (0.3695, 0.4622, 0.2867)
Ca (0.6305, 0.5378, 0.7133)
Ca (0.8773, 0.9555, 0.7899)
Ti (0.0000, 0.5000, 0.0000)
Si (0.1246, 0.6932, 0.5583)
Si (0.3713, 0.8037, 0.9442)
Si (0.6287, 0.1963, 0.0558)
Si (0.8754, 0.3068, 0.4417)
Sn (0.2490, 0.2519, 0.7508)
Sn (0.5000, 0.0000, 0.5000)
Sn (0.7510, 0.7481, 0.2492)
O (0.0316, 0.7284, 0.3606)
O (0.0394, 0.3554, 0.2694)
O (0.1205, 0.3007, 0.9590)
O (0.2021, 0.9723, 0.9022)
O (0.2164, 0.8915, 0.5224)
O (0.2697, 0.6101, 0.9777)
O (0.2972, 0.5284, 0.5987)
O (0.3739, 0.2134, 0.5371)
O (0.4552, 0.1530, 0.2203)
O (0.4688, 0.7690, 0.1394)
O (0.5312, 0.2310, 0.8606)
O (0.5448, 0.8470, 0.7797)
O (0.6261, 0.7866, 0.4629)
O (0.7028, 0.4716, 0.4013)
O (0.7303, 0.3899, 0.0223)
O (0.7836, 0.1085, 0.4776)
O (0.7979, 0.0277, 0.0978)
O (0.8795, 0.6993, 0.0410)
O (0.9606, 0.6446, 0.7306)
O (0.9684, 0.2716, 0.6394)

Peak list (10 most intense, 2θ from 5° to 70°, in order of rising 2θ)
| 2theta | I/Imax |
| --- | --- |
| 17.44 | 71 |
| 19.86 | 19 |
| 26.82 | 100 |
| 28.89 | 61 |
| 33.37 | 61 |
| 33.66 | 53 |
| 42.54 | 25 |
| 51.48 | 19 |
| 52.08 | 28 |
| 54.11 | 23 |